No. 1
Starting from a cell relaxed with PBE, the X-ray powder pattern of Na2PaS4 was computed for CuKα.
Intensities are scaled so that the largest is 1000.

Structural model:
a = 7.127 Å, b = 11.761 Å, c = 4.162 Å
α = 90.00°, β = 90.00°, γ = 90.00°
Space group Pbam (No. 55)
Asymmetric unit:
Na1 0.082 0.186 0.000 x4
Pa1 0.000 0.500 0.500 x2
S1 0.135 0.701 0.500 x4
S2 0.229 0.453 0.000 x4

Principal peaks in the range 2θ = 5–70°, in order of rising 2θ:
hkl 1 1 0, d = 6.095 Å, 14.5°, intensity 1000; hkl 0 2 0, d = 5.880 Å, 15.1°, intensity 310; hkl 1 1 1, d = 3.437 Å, 25.9°, intensity 867; hkl 0 4 0, d = 2.940 Å, 30.4°, intensity 121; hkl 2 0 1, d = 2.707 Å, 33.1°, intensity 173; hkl 2 2 1, d = 2.459 Å, 36.5°, intensity 369; hkl 3 3 0, d = 2.032 Å, 44.6°, intensity 203; hkl 2 4 1, d = 1.992 Å, 45.5°, intensity 135; hkl 1 5 1, d = 1.969 Å, 46.1°, intensity 309; hkl 3 3 1, d = 1.826 Å, 49.9°, intensity 133

---

No. 2
Starting from a cell relaxed with PBE, the X-ray powder pattern of Pu2Si3Ni was computed for CuKα.
Intensities are scaled so that the largest is 1000.

Structural model:
a = 3.992 Å, b = 4.015 Å, c = 6.941 Å
α = 90.00°, β = 90.00°, γ = 90.00°
Space group Pmm2 (No. 25)
Asymmetric unit:
Pu1 0.000 0.000 0.000 x1
Pu2 0.000 0.500 0.498 x1
Si1 0.500 0.000 0.654 x1
Si2 0.500 0.500 0.174 x1
Si3 0.500 0.500 0.835 x1
Ni1 0.500 0.000 0.327 x1

Principal peaks in the range 2θ = 5–70°, in order of rising 2θ:
hkl 1 0 0, d = 3.992 Å, 22.3°, intensity 154; hkl 0 1 1, d = 3.474 Å, 25.6°, intensity 532; hkl 1 0 2, d = 2.621 Å, 34.2°, intensity 1000; hkl 0 2 0, d = 2.006 Å, 45.2°, intensity 298; hkl 2 0 0, d = 1.996 Å, 45.4°, intensity 98; hkl 1 1 3, d = 1.792 Å, 51.0°, intensity 118; hkl 0 0 4, d = 1.737 Å, 52.7°, intensity 82; hkl 2 1 1, d = 1.731 Å, 52.9°, intensity 159; hkl 1 2 2, d = 1.593 Å, 57.9°, intensity 227; hkl 2 2 0, d = 1.415 Å, 66.0°, intensity 195

---

No. 3
Starting from a cell relaxed with PBE, the X-ray powder pattern of MgFeGeRh was computed for CuKα.
Intensities are scaled so that the largest is 1000.

Structural model:
a = 5.987 Å, b = 5.987 Å, c = 5.987 Å
α = 90.00°, β = 90.00°, γ = 90.00°
Space group F-43m (No. 216)
Asymmetric unit:
Mg1 0.000 0.000 0.000 x4
Fe1 0.250 0.250 0.750 x4
Ge1 0.000 0.000 0.500 x4
Rh1 0.250 0.250 0.250 x4

Principal peaks in the range 2θ = 5–70°, in order of rising 2θ:
hkl 1 1 1, d = 3.456 Å, 25.8°, intensity 170; hkl 2 0 0, d = 2.993 Å, 29.8°, intensity 79; hkl 2 2 0, d = 2.117 Å, 42.7°, intensity 1000; hkl 3 1 1, d = 1.805 Å, 50.6°, intensity 83; hkl 2 2 2, d = 1.728 Å, 53.0°, intensity 19; hkl 4 0 0, d = 1.497 Å, 62.0°, intensity 159; hkl 3 3 1, d = 1.373 Å, 68.3°, intensity 34

---

No. 4
Starting from a cell relaxed with PBE, the X-ray powder pattern of Al2InSe4 was computed for CuKα.
Intensities are scaled so that the largest is 1000.

Structural model:
a = 7.908 Å, b = 7.908 Å, c = 6.292 Å
α = 90.00°, β = 90.00°, γ = 90.00°
Space group I4/m (No. 87)
Asymmetric unit:
Al1 0.000 0.500 0.250 x4
In1 0.000 0.000 0.000 x2
Se1 0.163 0.333 0.500 x8

Principal peaks in the range 2θ = 5–70°, in order of rising 2θ:
hkl 1 0 1, d = 4.924 Å, 18.0°, intensity 279; hkl 0 0 2, d = 3.146 Å, 28.4°, intensity 263; hkl 2 1 1, d = 3.083 Å, 29.0°, intensity 1000; hkl 2 2 0, d = 2.796 Å, 32.0°, intensity 159; hkl 1 3 0, d = 2.501 Å, 35.9°, intensity 195; hkl 1 3 2, d = 1.958 Å, 46.4°, intensity 407; hkl 1 4 1, d = 1.835 Å, 49.7°, intensity 198; hkl 2 1 3, d = 1.804 Å, 50.6°, intensity 206; hkl 4 2 0, d = 1.768 Å, 51.7°, intensity 85; hkl 5 2 1, d = 1.430 Å, 65.2°, intensity 96

---

No. 5
Starting from a cell relaxed with PBE, the X-ray powder pattern of CaTb3Sm4Se8 was computed for CuKα.
Intensities are scaled so that the largest is 1000.

Structural model:
a = 8.2682 Å, b = 8.2682 Å, c = 20.4046 Å
α = 90.00°, β = 90.00°, γ = 120.00°
Space group R-3m (No. 166, hexagonal axes)
Asymmetric unit:
Ca1 0.0000 0.0000 0.0000 x3
Tb1 0.0000 0.5000 0.0000 x9
Sm1 0.0000 0.0000 0.5000 x3
Sm2 0.0000 0.5000 0.5000 x9
Se1 0.0000 0.0000 0.2524 x6
Se2 0.0002 0.5001 0.2524 x18

Principal peaks in the range 2θ = 5–70°, in order of rising 2θ:
hkl 1 0 1, d = 6.760 Å, 13.1°, intensity 32; hkl 0 0 6, d = 3.401 Å, 26.2°, intensity 36; hkl 2 0 2, d = 3.378 Å, 26.4°, intensity 105; hkl 0 2 4, d = 2.931 Å, 30.5°, intensity 1000; hkl 2 0 8, d = 2.077 Å, 43.6°, intensity 372; hkl 2 2 0, d = 2.067 Å, 43.8°, intensity 369; hkl 2 2 6, d = 1.766 Å, 51.8°, intensity 35; hkl 0 0 12, d = 1.700 Å, 53.9°, intensity 66; hkl 4 0 4, d = 1.689 Å, 54.3°, intensity 195; hkl 0 4 8, d = 1.465 Å, 63.5°, intensity 121

---

No. 6
Starting from a cell relaxed with PBE, the X-ray powder pattern of Nd2Zn5Rh4 was computed for CuKα.
Intensities are scaled so that the largest is 1000.

Structural model:
a = 5.371 Å, b = 9.456 Å, c = 16.002 Å
α = 90.00°, β = 90.00°, γ = 90.00°
Space group Fmmm (No. 69)
Asymmetric unit:
Nd1 0.000 0.000 0.146 x8
Zn1 0.000 0.000 0.500 x4
Zn2 0.250 0.250 0.000 x8
Zn3 0.250 0.250 0.250 x8
Rh1 0.000 0.154 0.372 x16

Principal peaks in the range 2θ = 5–70°, in order of rising 2θ:
hkl 0 0 4, d = 4.001 Å, 22.2°, intensity 226; hkl 0 2 4, d = 3.054 Å, 29.2°, intensity 221; hkl 2 0 0, d = 2.682 Å, 33.4°, intensity 680; hkl 1 3 3, d = 2.422 Å, 37.1°, intensity 1000; hkl 2 2 0, d = 2.335 Å, 38.6°, intensity 263; hkl 2 0 4, d = 2.230 Å, 40.5°, intensity 737; hkl 1 3 5, d = 2.072 Å, 43.7°, intensity 204; hkl 0 0 8, d = 2.000 Å, 45.3°, intensity 284; hkl 1 3 7, d = 1.750 Å, 52.3°, intensity 266; hkl 3 3 3, d = 1.494 Å, 62.1°, intensity 217

---

No. 7
Starting from a cell relaxed with PBE, the X-ray powder pattern of Hf4Zr3Bi4 was computed for CuKα.
Intensities are scaled so that the largest is 1000.

Structural model:
a = 9.515 Å, b = 3.927 Å, c = 14.588 Å
α = 90.00°, β = 90.00°, γ = 90.00°
Space group Amm2 (No. 38)
Asymmetric unit:
Hf1 0.000 0.000 0.000 x2
Hf2 0.245 0.000 0.490 x4
Hf3 0.500 0.000 0.008 x2
Zr1 0.000 0.000 0.670 x2
Zr2 0.264 0.000 0.820 x4
Bi1 0.000 0.000 0.337 x2
Bi2 0.261 0.000 0.151 x4
Bi3 0.500 0.000 0.352 x2

Principal peaks in the range 2θ = 5–70°, in order of rising 2θ:
hkl 2 0 2, d = 3.985 Å, 22.3°, intensity 114; hkl 2 1 3, d = 2.571 Å, 34.9°, intensity 1000; hkl 0 0 6, d = 2.431 Å, 37.0°, intensity 190; hkl 4 0 0, d = 2.379 Å, 37.8°, intensity 206; hkl 0 2 0, d = 1.963 Å, 46.2°, intensity 121; hkl 4 0 6, d = 1.700 Å, 53.9°, intensity 138; hkl 0 2 6, d = 1.527 Å, 60.6°, intensity 90; hkl 4 2 0, d = 1.514 Å, 61.2°, intensity 102; hkl 2 1 9, d = 1.429 Å, 65.3°, intensity 112; hkl 6 1 3, d = 1.407 Å, 66.4°, intensity 147

---

No. 8
Starting from a cell relaxed with PBE, the X-ray powder pattern of CaMgSi2O2 was computed for CuKα.
Intensities are scaled so that the largest is 1000.

Structural model:
a = 9.337 Å, b = 8.873 Å, c = 4.958 Å
α = 90.00°, β = 102.83°, γ = 90.00°
Space group C2/c (No. 15)
Asymmetric unit:
Ca1 0.000 0.194 0.250 x4
Mg1 0.000 0.416 0.750 x4
Si1 0.194 0.088 0.790 x8
O1 0.119 0.411 0.137 x8

Principal peaks in the range 2θ = 5–70°, in order of rising 2θ:
hkl 1 1 1, d = 3.589 Å, 24.8°, intensity 314; hkl 2 2 0, d = 3.177 Å, 28.1°, intensity 184; hkl 2 2 -1, d = 2.867 Å, 31.2°, intensity 1000; hkl 1 3 -1, d = 2.507 Å, 35.8°, intensity 360; hkl 2 2 1, d = 2.484 Å, 36.2°, intensity 346; hkl 0 0 2, d = 2.417 Å, 37.2°, intensity 432; hkl 0 4 1, d = 2.016 Å, 45.0°, intensity 410; hkl 5 3 -1, d = 1.565 Å, 59.0°, intensity 157; hkl 1 3 -3, d = 1.442 Å, 64.7°, intensity 157; hkl 5 3 1, d = 1.402 Å, 66.7°, intensity 202

---

No. 9
Starting from a cell relaxed with PBE, the X-ray powder pattern of Re4Tc3Ru was computed for CuKα.
Intensities are scaled so that the largest is 1000.

Structural model:
a = 5.509 Å, b = 5.509 Å, c = 3.884 Å
α = 90.00°, β = 90.00°, γ = 90.00°
Space group P4/mmm (No. 123)
Asymmetric unit:
Re1 0.249 0.249 0.000 x4
Tc1 0.000 0.500 0.500 x2
Tc2 0.500 0.500 0.500 x1
Ru1 0.000 0.000 0.500 x1

Principal peaks in the range 2θ = 5–70°, in order of rising 2θ:
hkl 0 0 1, d = 3.884 Å, 22.9°, intensity 84; hkl 2 0 0, d = 2.754 Å, 32.5°, intensity 73; hkl 2 0 1, d = 2.247 Å, 40.1°, intensity 1000; hkl 2 2 0, d = 1.948 Å, 46.6°, intensity 326; hkl 0 0 2, d = 1.942 Å, 46.8°, intensity 161; hkl 2 2 1, d = 1.741 Å, 52.6°, intensity 41; hkl 2 0 2, d = 1.587 Å, 58.1°, intensity 31; hkl 4 0 0, d = 1.377 Å, 68.1°, intensity 105; hkl 2 2 2, d = 1.375 Å, 68.2°, intensity 209

---

No. 10
Starting from a cell relaxed with PBE, the X-ray powder pattern of AcLa2TbDy5 was computed for CuKα.
Intensities are scaled so that the largest is 1000.

Structural model:
a = 8.817 Å, b = 8.817 Å, c = 15.910 Å
α = 90.00°, β = 90.00°, γ = 90.00°
Space group I4/mcm (No. 140)
Asymmetric unit:
Ac1 0.000 0.000 0.250 x4
La1 0.117 0.383 0.000 x8
Tb1 0.000 0.500 0.250 x4
Dy1 0.000 0.000 0.000 x4
Dy2 0.211 0.289 0.364 x16

Principal peaks in the range 2θ = 5–70°, in order of rising 2θ:
hkl 2 1 3, d = 3.164 Å, 28.2°, intensity 359; hkl 2 2 0, d = 3.117 Å, 28.6°, intensity 509; hkl 2 0 4, d = 2.953 Å, 30.3°, intensity 1000; hkl 3 1 0, d = 2.788 Å, 32.1°, intensity 140; hkl 3 2 1, d = 2.417 Å, 37.2°, intensity 125; hkl 4 0 2, d = 2.124 Å, 42.6°, intensity 94; hkl 0 0 8, d = 1.989 Å, 45.6°, intensity 121; hkl 4 2 4, d = 1.766 Å, 51.8°, intensity 247; hkl 2 2 8, d = 1.677 Å, 54.7°, intensity 144; hkl 4 4 0, d = 1.558 Å, 59.3°, intensity 130

---

No. 11
Starting from a cell relaxed with PBE, the X-ray powder pattern of Pm4TlInHg2 was computed for CuKα.
Intensities are scaled so that the largest is 1000.

Structural model:
a = 5.4424 Å, b = 5.4424 Å, c = 26.6341 Å
α = 90.00°, β = 90.00°, γ = 120.00°
Space group R-3m (No. 166, hexagonal axes)
Asymmetric unit:
Pm1 0.0000 0.0000 0.1251 x6
Pm2 0.0000 0.0000 0.3751 x6
Tl1 0.0000 0.0000 0.0000 x3
In1 0.0000 0.0000 0.5000 x3
Hg1 0.0000 0.0000 0.2490 x6

Principal peaks in the range 2θ = 5–70°, in order of rising 2θ:
hkl 0 0 3, d = 8.878 Å, 10.0°, intensity 8; hkl 1 0 1, d = 4.641 Å, 19.1°, intensity 8; hkl 0 0 6, d = 4.442 Å, 20.0°, intensity 9; hkl 1 0 4, d = 3.847 Å, 23.1°, intensity 11; hkl 1 1 0, d = 2.720 Å, 32.9°, intensity 1000; hkl 1 1 6, d = 2.320 Å, 38.8°, intensity 6; hkl 2 0 8, d = 1.924 Å, 47.3°, intensity 184; hkl 2 1 4, d = 1.720 Å, 53.2°, intensity 5; hkl 3 0 0, d = 1.571 Å, 58.8°, intensity 383; hkl 2 2 0, d = 1.360 Å, 69.1°, intensity 119

---

No. 12
Starting from a cell relaxed with PBE, the X-ray powder pattern of KTmMg2Br8 was computed for CuKα.
Intensities are scaled so that the largest is 1000.

Structural model:
a = 6.827 Å, b = 6.840 Å, c = 9.293 Å
α = 79.91°, β = 79.29°, γ = 79.27°
Space group P-1 (No. 2)
Asymmetric unit:
K1 0.000 0.000 0.000 x1
Tm1 0.000 0.000 0.500 x1
Mg1 0.448 0.453 0.214 x2
Br1 0.207 0.765 0.718 x2
Br2 0.254 0.280 0.462 x2
Br3 0.257 0.812 0.276 x2
Br4 0.316 0.341 0.008 x2

Principal peaks in the range 2θ = 5–70°, in order of rising 2θ:
hkl 0 0 1, d = 9.034 Å, 9.8°, intensity 464; hkl 0 1 1, d = 5.784 Å, 15.3°, intensity 1000; hkl 1 1 0, d = 5.116 Å, 17.3°, intensity 485; hkl 1 2 0, d = 3.178 Å, 28.1°, intensity 623; hkl 1 -1 2, d = 3.150 Å, 28.3°, intensity 830; hkl -1 1 2, d = 3.123 Å, 28.6°, intensity 875; hkl 2 1 2, d = 2.917 Å, 30.7°, intensity 318; hkl 2 2 1, d = 2.628 Å, 34.1°, intensity 279; hkl 0 0 4, d = 2.258 Å, 39.9°, intensity 325; hkl 2 -2 0, d = 2.179 Å, 41.4°, intensity 356